Record 1
Starting from a GGA-PBE-relaxed structure, the PXRD pattern of AcTl4Cu3O12 was simulated for Cu Kα, 1.54184 Å.

The 10 most intense peaks (2θ = 10–90°), by angle:
- 2θ 15.4, I 8
- 2θ 21.9, I 11
- 2θ 31.1, I 100
- 2θ 41.6, I 5
- 2θ 44.6, I 20
- 2θ 50.2, I 7
- 2θ 55.4, I 46
- 2θ 64.9, I 12
- 2θ 73.7, I 18
- 2θ 82.2, I 5

Cell: 8.126 8.126 8.126 Å, 90.00 90.00 90.00°
Space group Im-3 (No. 204)
Inequivalent atoms, fractional coordinates:
1 Ac 0.000 0.000 0.000 [2 per cell]
2 Tl 0.250 0.250 0.250 [8 per cell]
3 Cu 0.000 0.000 0.500 [6 per cell]
4 O 0.000 0.151 0.322 [24 per cell]

=====

Record 2
Starting from a GGA-PBE-relaxed structure, the PXRD pattern of SbClF10 was simulated for Cu Kα, 1.54184 Å.

The 10 most intense peaks (2θ = 10–90°), by angle:
- 2θ 11.7, I 19
- 2θ 15.5, I 24
- 2θ 19.0, I 18
- 2θ 20.3, I 55
- 2θ 21.6, I 100
- 2θ 23.5, I 29
- 2θ 25.3, I 26
- 2θ 41.2, I 17
- 2θ 42.7, I 17
- 2θ 50.8, I 13

Cell: 5.915 15.152 8.763 Å, 90.00 90.00 90.00°
Space group Pbcm (No. 57)
Inequivalent atoms, fractional coordinates:
1 Sb 0.085 0.143 0.250 [4 per cell]
2 Cl 0.421 0.662 0.750 [4 per cell]
3 F 0.080 0.147 0.033 [8 per cell]
4 F 0.088 0.537 0.250 [4 per cell]
5 F 0.194 0.605 0.750 [4 per cell]
6 F 0.195 0.713 0.250 [4 per cell]
7 F 0.244 0.243 0.750 [4 per cell]
8 F 0.368 0.083 0.250 [4 per cell]
9 F 0.406 0.081 0.750 [4 per cell]
10 F 0.420 0.658 0.559 [8 per cell]

=====

Record 3
Starting from a GGA-PBE-relaxed structure, the PXRD pattern of Li2Ni2As was simulated for Cu Kα, 1.54184 Å.

The 10 most intense peaks (2θ = 10–90°), by angle:
- 2θ 21.6, I 100
- 2θ 34.0, I 27
- 2θ 40.7, I 44
- 2θ 44.0, I 18
- 2θ 48.9, I 27
- 2θ 49.0, I 7
- 2θ 54.0, I 34
- 2θ 56.8, I 11
- 2θ 67.9, I 19
- 2θ 88.6, I 8

Cell: 5.891 5.891 4.113 Å, 90.00 90.00 90.00°
Space group P4/mbm (No. 127)
Inequivalent atoms, fractional coordinates:
1 Li 0.167 0.333 0.000 [4 per cell]
2 Ni 0.143 0.643 0.500 [4 per cell]
3 As 0.000 0.000 0.500 [2 per cell]

=====

Record 4
Starting from a GGA-PBE-relaxed structure, the PXRD pattern of CaZnHRh was simulated for Cu Kα, 1.54184 Å.

The 10 most intense peaks (2θ = 10–90°), by angle:
- 2θ 10.9, I 100
- 2θ 24.6, I 31
- 2θ 31.3, I 54
- 2θ 38.6, I 84
- 2θ 44.9, I 42
- 2θ 46.3, I 34
- 2θ 50.4, I 25
- 2θ 55.7, I 17
- 2θ 69.8, I 20
- 2θ 78.5, I 19

Cell: 4.041 4.041 8.093 Å, 90.00 90.00 90.00°
Space group P4/nmm (No. 129, origin choice 2)
Inequivalent atoms, fractional coordinates:
1 Ca 0.250 0.250 0.187 [2 per cell]
2 Zn 0.250 0.750 0.500 [2 per cell]
3 H 0.250 0.250 0.901 [2 per cell]
4 Rh 0.250 0.250 0.696 [2 per cell]